Simulated X-ray diffraction stick pattern of Mn3O4 for Cu Kα, 1.54184 Å, from DFT lattice parameters and positions (GGA+U).

Top 7 peaks for 5 to 70 degrees two-theta, by intensity:
d/Å	two_theta	I/Imax	index
2.750	32.56	100	2 1 1
2.130	42.44	72	3 1 0
1.800	50.71	30	3 2 1
1.506	61.57	25	4 2 0
1.436	64.93	13	3 3 2
1.375	68.21	10	4 2 2
1.684	54.49	7	4 0 0

Atomic structure:
```
data_Mn3O4
_chemical_formula_sum 'Mn12 O16'
_space_group_name_H-M_alt 'I -4 3 d'
_space_group_IT_number 220
_space_group_name_Hall 'I -4bd 2c 3'
_cell_length_a 6.7360
_cell_length_b 6.7360
_cell_length_c 6.7360
_cell_angle_alpha 90.00
_cell_angle_beta 90.00
_cell_angle_gamma 90.00
loop_
_atom_site_label
_atom_site_fract_x
_atom_site_fract_y
_atom_site_fract_z
Mn1 0.0000 0.2500 0.3750
O1 0.0348 0.0348 0.0348
```